Starting from the PBE+U geometry in Alexandria, the X-ray diffraction stick pattern of BaLa2TiCr2O9 was calculated for Cu Kα (weighted mean of Kα1 and Kα2).
Lines closer than 0.1° are merged.

Top 10 peaks for 2θ = 5–70°, in order of rising 2θ:
d 3.964, 2θ = 22.43°, I 25
d 2.821, 2θ = 31.72°, I 26
d 2.802, 2θ = 31.94°, I 100
d 2.787, 2θ = 32.11°, I 24
d 2.298, 2θ = 39.21°, I 17
d 2.279, 2θ = 39.54°, I 16
d 1.982, 2θ = 45.78°, I 50
d 1.625, 2θ = 56.64°, I 19
d 1.613, 2θ = 57.11°, I 27
d 1.401, 2θ = 66.76°, I 19

Cell and atoms:
Lattice parameters (Å, degrees): 8.8254 8.8254 3.9603 90.00 90.00 142.72
Fractional coordinates of all 15 atoms:
Ba  0.0000  0.0000  0.0000
La  0.3278  0.6722  0.0000
La  0.6722  0.3278  0.0000
Ti  0.5000  0.5000  0.5000
Cr  0.1663  0.8337  0.5000
Cr  0.8337  0.1663  0.5000
O  0.0000  0.5000  0.5000
O  0.1758  0.8242  0.0000
O  0.1774  0.3499  0.5000
O  0.3499  0.1774  0.5000
O  0.5000  0.0000  0.5000
O  0.5000  0.5000  0.0000
O  0.6501  0.8226  0.5000
O  0.8226  0.6501  0.5000
O  0.8242  0.1758  0.0000


Starting from the PBE+U geometry in Alexandria, the X-ray diffraction stick pattern of BaLa4TiCr4O15 was calculated for Cu Kα (weighted mean of Kα1 and Kα2).
Lines closer than 0.1° are merged.

Top 10 peaks for 2θ = 5–70°, in order of rising 2θ:
d 3.949, 2θ = 22.51°, I 25
d 2.804, 2θ = 31.91°, I 25
d 2.792, 2θ = 32.06°, I 100
d 2.782, 2θ = 32.17°, I 24
d 2.286, 2θ = 39.41°, I 17
d 2.274, 2θ = 39.63°, I 16
d 1.975, 2θ = 45.96°, I 50
d 1.617, 2θ = 56.96°, I 19
d 1.609, 2θ = 57.27°, I 28
d 1.396, 2θ = 67.04°, I 19

Cell and atoms:
Lattice parameters (Å, degrees): 14.1915 14.1915 3.9470 90.00 90.00 157.20
Fractional coordinates of all 25 atoms:
Ba  0.0000  0.0000  0.0000
La  0.1986  0.8014  0.0000
La  0.3962  0.6038  0.0000
La  0.6038  0.3962  0.0000
La  0.8014  0.1986  0.0000
Ti  0.5000  0.5000  0.5000
Cr  0.1002  0.8998  0.5000
Cr  0.2994  0.7006  0.5000
Cr  0.7006  0.2994  0.5000
Cr  0.8998  0.1002  0.5000
O  0.0000  0.5000  0.5000
O  0.0999  0.4008  0.5000
O  0.1062  0.8938  0.0000
O  0.2115  0.3155  0.5000
O  0.3021  0.6979  0.0000
O  0.3155  0.2115  0.5000
O  0.4008  0.0999  0.5000
O  0.5000  0.0000  0.5000
O  0.5000  0.5000  0.0000
O  0.5992  0.9001  0.5000
O  0.6845  0.7885  0.5000
O  0.6979  0.3021  0.0000
O  0.7885  0.6845  0.5000
O  0.8938  0.1062  0.0000
O  0.9001  0.5992  0.5000